(1)
Structure and theoretical powder XRD pattern of Pu2Al5Ga3 (DFT lattice parameters and positions (PBE); Cu Kα X-rays).

Crystal structure
a = 4.2193 Å, b = 4.2193 Å, c = 11.0179 Å
α = 90.00°, β = 90.00°, γ = 90.00°
Space group P-4m2 (No. 115)
One atom of each set of equivalent atoms:
Pu 0.0000 0.5000 0.2479
Al 0.0000 0.0000 0.0000
Al 0.0000 0.0000 0.5000
Al 0.0000 0.5000 0.8590
Al 0.5000 0.5000 0.0000
Ga 0.0000 0.5000 0.6373
Ga 0.5000 0.5000 0.5000

Most intense lines, 2θ from 10° to 80°, in order of falling intensity:
Position (°2θ)  I_rel
34.18  100
32.32  88
22.57  64
29.95  43
46.49  43
42.87  42
54.69  41
16.09  40

(2)
Structure and theoretical powder XRD pattern of NdDyAgPb (DFT lattice parameters and positions (PBE); Cu Kα X-rays).

Crystal structure
a = 7.5901 Å, b = 7.5901 Å, c = 7.5901 Å
α = 90.00°, β = 90.00°, γ = 90.00°
Space group F-43m (No. 216)
One atom of each set of equivalent atoms:
Nd 0.0000 0.0000 0.0000
Dy 0.0000 0.0000 0.5000
Ag 0.2500 0.2500 0.7500
Pb 0.2500 0.2500 0.2500

Most intense lines, 2θ from 10° to 80°, in order of falling intensity:
Position (°2θ)  I_rel
33.39  100
59.68  38
47.94  18
79.94  16
70.14  12
20.26  5
39.37  3
52.56  1

(3)
Structure and theoretical powder XRD pattern of Tb6Y2Tm (DFT lattice parameters and positions (PBE); Cu Kα X-rays).

Crystal structure
a = 3.5580 Å, b = 8.7019 Å, c = 9.4010 Å
α = 89.99°, β = 79.16°, γ = 89.93°
Space group P-1 (No. 2)
One atom of each set of equivalent atoms:
Tb 0.1123 0.3316 0.2773
Tb 0.2222 0.6668 0.0551
Tb 0.3335 0.0003 0.8321
Y 0.4446 0.3327 0.6105
Tm 0.0000 0.0000 0.5000

Most intense lines, 2θ from 10° to 80°, in order of falling intensity:
Position (°2θ)  I_rel
30.81  100
35.72  51
51.41  36
61.16  35
61.06  7
64.14  6
64.21  6
75.72  4

(4)
Structure and theoretical powder XRD pattern of HfHIrPd2 (DFT lattice parameters and positions (PBE); Cu Kα X-rays).

Crystal structure
a = 3.9989 Å, b = 3.9989 Å, c = 4.1439 Å
α = 90.00°, β = 90.00°, γ = 90.00°
Space group P4/mmm (No. 123)
One atom of each set of equivalent atoms:
Hf 0.0000 0.0000 0.0000
H 0.5000 0.5000 0.5000
Ir 0.5000 0.5000 0.0000
Pd 0.0000 0.5000 0.5000

Most intense lines, 2θ from 10° to 80°, in order of falling intensity:
Position (°2θ)  I_rel
38.55  100
45.36  32
79.20  25
64.80  22
43.69  18
76.80  13
66.09  10
21.44  7

(5)
Structure and theoretical powder XRD pattern of Ba2NaAg2H6 (DFT lattice parameters and positions (PBE); Cu Kα X-rays).

Crystal structure
a = 10.5435 Å, b = 5.6293 Å, c = 7.1281 Å
α = 90.00°, β = 118.73°, γ = 90.00°
Space group C2/m (No. 12)
One atom of each set of equivalent atoms:
Ba 0.2076 0.0000 0.2045
Na 0.0000 0.0000 0.5000
Ag 0.0359 0.5000 0.2371
H 0.0595 0.2254 0.8170
H 0.2319 0.5000 0.3699

Most intense lines, 2θ from 10° to 80°, in order of falling intensity:
Position (°2θ)  I_rel
29.97  100
31.79  42
28.56  38
33.14  33
42.14  28
20.29  28
26.05  24
43.26  23